Record 1
Y2Te4O11: calculated PXRD pattern (Cu Kα (weighted mean of Kα1 and Kα2)), based on the GGA-PBE geometry in the Materials Project.

Largest 10 diffraction maxima, in order of rising 2θ, 2θ = 10–90°:
d_spacing  two_theta  I_rel
3.353  26.59  100
3.014  29.64  97
2.674  33.51  20
2.592  34.60  17
2.198  41.07  15
1.967  46.16  21
1.866  48.80  17
1.861  48.94  18
1.697  54.05  14
1.688  54.35  14

Atomic structure:
a = 6.7779 Å, b = 6.7779 Å, c = 16.2879 Å
α = 104.20°, β = 104.20°, γ = 44.97°
Fractional positions:
Y  0.1300  0.6337  0.9629
Y  0.3663  0.8700  0.5371
Y  0.6337  0.1300  0.4629
Y  0.8700  0.3663  0.0371
Te  0.0908  0.6530  0.6258
Te  0.1009  0.6563  0.3017
Te  0.3437  0.8991  0.1983
Te  0.3470  0.9092  0.8742
Te  0.6530  0.0908  0.1258
Te  0.6563  0.1009  0.8017
Te  0.8991  0.3437  0.6983
Te  0.9092  0.3470  0.3742
O  0.0542  0.8943  0.4031
O  0.1057  0.9458  0.0969
O  0.1604  0.2523  0.9458
O  0.1839  0.3094  0.6279
O  0.2523  0.1604  0.4458
O  0.2904  0.4122  0.8309
O  0.3094  0.1839  0.1279
O  0.3212  0.5393  0.5445
O  0.3510  0.6490  0.2500
O  0.4122  0.2904  0.3309
O  0.4607  0.6788  0.9555
O  0.5393  0.3212  0.0445
O  0.5878  0.7096  0.6691
O  0.6490  0.3510  0.7500
O  0.6788  0.4607  0.4555
O  0.6906  0.8161  0.8721
O  0.7096  0.5878  0.1691
O  0.7477  0.8396  0.5542
O  0.8161  0.6906  0.3721
O  0.8396  0.7477  0.0542
O  0.8943  0.0542  0.9031
O  0.9458  0.1057  0.5969



Record 2
Zn4TeO3: calculated PXRD pattern (Cu Kα (weighted mean of Kα1 and Kα2)), based on the GGA-PBE geometry in the Materials Project.

Largest 10 diffraction maxima, in order of rising 2θ, 2θ = 10–90°:
d_spacing  two_theta  I_rel
5.961  14.86  27
3.121  28.61  22
2.980  29.98  78
2.934  30.46  20
2.825  31.67  100
2.290  39.35  30
2.233  40.40  27
1.936  46.93  29
1.789  51.05  58
1.531  60.46  22

Atomic structure:
a = 3.3710 Å, b = 7.2885 Å, c = 10.3593 Å
α = 90.00°, β = 90.00°, γ = 90.00°
Fractional positions:
Zn  0.0000  0.0000  0.0000
Zn  0.0000  0.0000  0.4423
Zn  0.0000  0.5000  0.5000
Zn  0.0000  0.5000  0.9423
Zn  0.5000  0.2047  0.1806
Zn  0.5000  0.2953  0.6806
Zn  0.5000  0.7047  0.6806
Zn  0.5000  0.7953  0.1806
Te  0.5000  0.0000  0.8117
Te  0.5000  0.5000  0.3117
O  0.0000  0.2489  0.5710
O  0.0000  0.2511  0.0710
O  0.0000  0.7489  0.0710
O  0.0000  0.7511  0.5710
O  0.5000  0.0000  0.3217
O  0.5000  0.5000  0.8217